HfZn2Cu: calculated powder diffractogram (CuKα), based on a crystal structure in OQMD, relaxed with PBE.
Kinematic intensities with the Lorentz-polarization factor, no thermal factor.

```
HfZn2Cu
1.0
0.000 3.124 3.124
3.124 0.000 3.124
3.124 3.124 0.000
Hf Zn Cu
1 2 1
Cartesian
0.000 0.000 0.000
3.124 3.124 3.124
4.686 4.686 4.686
1.562 1.562 1.562
```

The 10 most intense peaks (2θ from 10° to 90°), in order of falling intensity:
| d/Å | I/Imax |
| --- | --- |
| 2.209 | 100 |
| 1.275 | 32 |
| 3.607 | 18 |
| 1.562 | 16 |
| 1.104 | 10 |
| 3.124 | 10 |
| 1.884 | 9 |
| 1.433 | 4 |
| 1.397 | 4 |
| 1.202 | 3 |


K2PtO3: calculated powder diffractogram (CuKα), based on a crystal structure in OQMD, relaxed with PBE.
Kinematic intensities with the Lorentz-polarization factor, no thermal factor.

```
K2PtO3
1.0
6.420 0.000 0.000
3.209 5.567 0.000
0.002 0.002 6.769
K Pt O
4 2 6
Cartesian
0.000 0.000 0.000
0.001 0.001 3.384
3.209 1.856 1.679
6.422 3.714 5.090
3.211 1.858 5.060
6.419 3.711 1.708
1.408 1.524 5.060
3.823 3.586 5.061
5.230 5.108 1.708
4.401 0.462 5.061
5.808 1.983 1.707
8.223 4.045 1.709
```

The 10 most intense peaks (2θ from 10° to 90°), in order of falling intensity:
| d/Å | I/Imax |
| --- | --- |
| 4.298 | 100 |
| 3.212 | 78 |
| 2.891 | 45 |
| 2.330 | 30 |
| 3.384 | 28 |
| 5.563 | 23 |
| 2.008 | 23 |
| 2.149 | 22 |
| 1.854 | 22 |
| 1.497 | 16 |